The following is a computed X-ray diffraction stick pattern of BaNdBiI. It was derived from a DFT-relaxed cell (PBE, Alexandria), using Cu Kα (λ = 1.5418 Å).
Kinematic intensities with the Lorentz-polarization factor, no thermal factor.

The 12 most intense peaks (2θ = 15–90°), low angle first:
Position (°2θ), I (rel.)
20.05, 21.9
21.07, 51.4
23.65, 32.5
27.20, 98.5
31.40, 29.8
34.47, 100.0
37.71, 43.6
44.45, 26.0
52.00, 19.8
57.43, 24.3
59.79, 19.1
63.89, 20.3

Atomic structure:
```
BaNdBiI
1.0
2.6022 1.5024 15.9310
-2.6022 1.5024 15.9310
0.0000 -3.0048 15.9310
Ba Nd Bi I
2 2 2 2
Direct
0.0935 0.0935 0.0935
0.9065 0.9065 0.9065
0.3098 0.3098 0.3098
0.6902 0.6902 0.6902
0.3815 0.3815 0.3815
0.6185 0.6185 0.6185
0.2035 0.2035 0.2035
0.7965 0.7965 0.7965
```

***

The following is a computed X-ray diffraction stick pattern of BaBi2I2O2. It was derived from a DFT-relaxed cell (PBE, Alexandria), using Cu Kα (λ = 1.5418 Å).
Kinematic intensities with the Lorentz-polarization factor, no thermal factor.

The 12 most intense peaks (2θ = 15–90°), low angle first:
Position (°2θ), I (rel.)
27.66, 100.0
30.51, 42.9
32.60, 6.9
38.30, 14.0
43.68, 19.1
47.05, 14.6
52.49, 35.1
59.46, 15.9
70.61, 7.5
72.07, 7.7
86.83, 8.8
89.82, 7.0

Atomic structure:
```
BaBi2I2O2
1.0
-2.0721 2.0721 12.8401
2.0721 -2.0721 12.8401
2.0721 2.0721 -12.8401
Ba Bi I O
1 2 2 2
Direct
0.0000 0.0000 0.0000
0.3752 0.3752 0.0000
0.7829 0.7829 0.0000
0.2098 0.2098 0.0000
0.5719 0.5719 0.0000
0.3292 0.8292 0.5000
0.8292 0.3292 0.5000
```

***

The following is a computed X-ray diffraction stick pattern of BaBi2I2O2. It was derived from a DFT-relaxed cell (PBE, Alexandria), using Cu Kα (λ = 1.5418 Å).
Kinematic intensities with the Lorentz-polarization factor, no thermal factor.

The 12 most intense peaks (2θ = 15–90°), low angle first:
Position (°2θ), I (rel.)
23.64, 83.6
28.11, 100.0
30.87, 22.9
32.00, 44.2
33.39, 87.6
35.68, 20.0
36.61, 99.0
46.11, 36.6
47.94, 37.5
56.50, 29.2
61.80, 62.0
88.13, 19.4

Atomic structure:
```
BaBi2I2O2
1.0
-1.8977 1.8977 14.4810
1.8977 -1.8977 14.4810
1.8977 1.8977 -14.4810
Ba Bi I O
1 2 2 2
Direct
0.0000 0.0000 0.0000
0.1155 0.1155 0.0000
0.8845 0.8845 0.0000
0.3140 0.3140 0.0000
0.6860 0.6860 0.0000
0.0616 0.5616 0.5000
0.4384 0.9384 0.5000
```

***

The following is a computed X-ray diffraction stick pattern of BaBi2I2O2. It was derived from a DFT-relaxed cell (PBE, Alexandria), using Cu Kα (λ = 1.5418 Å).
Kinematic intensities with the Lorentz-polarization factor, no thermal factor.

The 12 most intense peaks (2θ = 15–90°), low angle first:
Position (°2θ), I (rel.)
26.05, 100.0
29.50, 15.3
30.77, 79.4
37.17, 47.2
39.75, 23.0
48.14, 18.4
49.00, 43.8
53.58, 16.4
59.11, 18.7
60.52, 19.9
63.04, 14.8
71.92, 21.2

Atomic structure:
```
BaBi2I2O2
1.0
-2.4190 2.4190 9.0837
2.4190 -2.4190 9.0837
2.4190 2.4190 -9.0837
Ba Bi I O
1 2 2 2
Direct
0.0000 0.0000 0.0000
0.3656 0.3656 0.0000
0.8165 0.8165 0.0000
0.1985 0.1985 0.0000
0.5549 0.5549 0.0000
0.3700 0.8700 0.5000
0.8700 0.3700 0.5000
```

***

The following is a computed X-ray diffraction stick pattern of Ba8Bi3PdI4. It was derived from a DFT-relaxed cell (PBE, Alexandria), using Cu Kα (λ = 1.5418 Å).
Kinematic intensities with the Lorentz-polarization factor, no thermal factor.

The 12 most intense peaks (2θ = 15–90°), low angle first:
Position (°2θ), I (rel.)
24.75, 100.0
34.95, 37.0
35.60, 40.0
42.75, 5.9
43.84, 21.5
50.75, 12.6
56.81, 15.3
57.70, 18.9
63.53, 12.9
63.95, 7.5
80.01, 5.7
80.77, 7.2

Atomic structure:
```
Ba8Bi3PdI4
1.0
8.7362 -5.0427 0.0000
8.7362 5.0427 0.0000
-5.8267 0.0000 8.4608
Ba Bi Pd I
8 3 1 4
Direct
0.2332 0.2332 0.7162
0.2325 0.7508 0.7154
0.2492 0.7675 0.2846
0.2583 0.2583 0.2756
0.7417 0.7417 0.7244
0.7508 0.2325 0.7154
0.7675 0.2492 0.2846
0.7668 0.7668 0.2838
0.0000 0.5000 0.5000
0.5000 0.0000 0.5000
0.5000 0.5000 0.5000
0.0000 0.0000 0.5000
0.0000 0.0000 0.0000
0.0000 0.5000 0.0000
0.5000 0.0000 0.0000
0.5000 0.5000 0.0000
```

***

The following is a computed X-ray diffraction stick pattern of BaBiS2I. It was derived from a DFT-relaxed cell (PBE, Alexandria), using Cu Kα (λ = 1.5418 Å).
Kinematic intensities with the Lorentz-polarization factor, no thermal factor.

The 12 most intense peaks (2θ = 15–90°), low angle first:
Position (°2θ), I (rel.)
19.79, 78.9
20.13, 49.3
24.22, 100.0
25.09, 31.1
26.05, 43.5
27.09, 54.1
28.24, 49.1
31.66, 25.8
32.47, 54.6
34.90, 25.0
40.91, 43.9
42.78, 33.4

Atomic structure:
```
BaBiS2I
1.0
8.3578 0.0000 0.0000
0.0000 5.5152 0.0000
-3.6412 0.0000 8.7211
Ba Bi S I
2 2 4 2
Direct
0.2015 0.2500 0.4392
0.7985 0.7500 0.5608
0.1546 0.2500 0.9393
0.8454 0.7500 0.0607
0.0135 0.7500 0.3493
0.0733 0.7500 0.9351
0.9267 0.2500 0.0649
0.9865 0.2500 0.6507
0.4608 0.7500 0.6972
0.5392 0.2500 0.3028
```